# 1
For Ba2CaTlCu2O7, DFT lattice parameters and positions (PBE) gives the theoretical powder XRD pattern in this record (copper Kα).
Intensities are scaled so that the largest is 1000.

Top 6 peaks for 2θ = 15–90°, in order of rising 2θ:
two_theta  I (rel.)
26.94  695
31.06  1000
32.98  707
47.34  362
48.37  264
57.71  351

Structural model:
```
data_Ba2CaTlCu2O7
_cell_length_a 3.841
_cell_length_b 3.841
_cell_length_c 13.049
_cell_angle_alpha 90.00
_cell_angle_beta 90.00
_cell_angle_gamma 90.00
_symmetry_space_group_name_H-M 'P 1'
_symmetry_Int_Tables_number 1
loop_
_symmetry_equiv_pos_as_xyz
'x,y,z'
loop_
_atom_site_label
_atom_site_type_symbol
_atom_site_fract_x
_atom_site_fract_y
_atom_site_fract_z
Ba1 Ba 0.000 0.000 0.208
Ba2 Ba 0.000 0.000 0.792
Ca1 Ca 0.000 0.000 0.500
Tl1 Tl 0.500 0.500 0.000
Cu1 Cu 0.500 0.500 0.368
Cu2 Cu 0.500 0.500 0.632
O1 O 0.000 0.000 0.000
O2 O 0.000 0.500 0.380
O3 O 0.000 0.500 0.620
O4 O 0.500 0.000 0.380
O5 O 0.500 0.000 0.620
O6 O 0.500 0.500 0.160
O7 O 0.500 0.500 0.840
```

---

# 2
For Ba2CaTl2Cu4O12, DFT lattice parameters and positions (PBE) gives the theoretical powder XRD pattern in this record (copper Kα).
Intensities are scaled so that the largest is 1000.

Top 6 peaks for 2θ = 15–90°, in order of rising 2θ:
two_theta  I (rel.)
27.81  1000
29.99  553
34.39  552
47.28  233
49.43  313
57.67  263

Structural model:
```
data_Ba2CaTl2Cu4O12
_cell_length_a 22.911
_cell_length_b 22.911
_cell_length_c 22.911
_cell_angle_alpha 170.77
_cell_angle_beta 170.77
_cell_angle_gamma 13.07
_symmetry_space_group_name_H-M 'P 1'
_symmetry_Int_Tables_number 1
loop_
_symmetry_equiv_pos_as_xyz
'x,y,z'
loop_
_atom_site_label
_atom_site_type_symbol
_atom_site_fract_x
_atom_site_fract_y
_atom_site_fract_z
Ba1 Ba 0.156 0.156 0.000
Ba2 Ba 0.844 0.844 0.000
Ca1 Ca 0.000 0.000 0.000
Tl1 Tl 0.277 0.277 0.000
Tl2 Tl 0.723 0.723 0.000
Cu1 Cu 0.396 0.396 0.000
Cu2 Cu 0.457 0.457 0.000
Cu3 Cu 0.543 0.543 0.000
Cu4 Cu 0.604 0.604 0.000
O1 O 0.034 0.534 0.500
O2 O 0.113 0.613 0.500
O3 O 0.230 0.230 0.000
O4 O 0.321 0.321 0.000
O5 O 0.387 0.887 0.500
O6 O 0.466 0.966 0.500
O7 O 0.534 0.034 0.500
O8 O 0.613 0.113 0.500
O9 O 0.679 0.679 0.000
O10 O 0.770 0.770 0.000
O11 O 0.887 0.387 0.500
O12 O 0.966 0.466 0.500
```

---

# 3
For Ba2Ca3TlCu4O11, DFT lattice parameters and positions (PBE) gives the theoretical powder XRD pattern in this record (copper Kα).
Intensities are scaled so that the largest is 1000.

Top 6 peaks for 2θ = 15–90°, in order of rising 2θ:
two_theta  I (rel.)
26.91  660
29.58  928
32.72  747
32.86  1000
36.22  400
47.25  348

Structural model:
```
data_Ba2Ca3TlCu4O11
_cell_length_a 3.848
_cell_length_b 19.436
_cell_length_c 3.862
_cell_angle_alpha 90.00
_cell_angle_beta 90.00
_cell_angle_gamma 90.00
_symmetry_space_group_name_H-M 'P 1'
_symmetry_Int_Tables_number 1
loop_
_symmetry_equiv_pos_as_xyz
'x,y,z'
loop_
_atom_site_label
_atom_site_type_symbol
_atom_site_fract_x
_atom_site_fract_y
_atom_site_fract_z
Ba1 Ba 0.000 0.139 0.000
Ba2 Ba 0.000 0.861 0.000
Ca1 Ca 0.000 0.329 0.989
Ca2 Ca 0.000 0.500 0.987
Ca3 Ca 0.000 0.671 0.989
Tl1 Tl 0.500 0.000 0.571
Cu1 Cu 0.500 0.246 0.491
Cu2 Cu 0.500 0.416 0.487
Cu3 Cu 0.500 0.584 0.487
Cu4 Cu 0.500 0.754 0.491
O1 O 0.000 0.000 0.922
O2 O 0.000 0.255 0.491
O3 O 0.000 0.418 0.487
O4 O 0.000 0.582 0.487
O5 O 0.000 0.745 0.491
O6 O 0.500 0.109 0.492
O7 O 0.500 0.254 0.991
O8 O 0.500 0.418 0.987
O9 O 0.500 0.582 0.987
O10 O 0.500 0.746 0.991
O11 O 0.500 0.891 0.492
```

---

# 4
For BaCaDy2F10, DFT lattice parameters and positions (PBE) gives the theoretical powder XRD pattern in this record (copper Kα).
Intensities are scaled so that the largest is 1000.

Top 6 peaks for 2θ = 15–90°, in order of rising 2θ:
two_theta  I (rel.)
25.21  644
26.23  1000
27.98  361
34.61  547
42.50  661
44.09  607

Structural model:
```
data_BaCaDy2F10
_cell_length_a 5.215
_cell_length_b 5.215
_cell_length_c 7.073
_cell_angle_alpha 91.89
_cell_angle_beta 91.89
_cell_angle_gamma 95.98
_symmetry_space_group_name_H-M 'P 1'
_symmetry_Int_Tables_number 1
loop_
_symmetry_equiv_pos_as_xyz
'x,y,z'
loop_
_atom_site_label
_atom_site_type_symbol
_atom_site_fract_x
_atom_site_fract_y
_atom_site_fract_z
Ba1 Ba 0.000 0.000 0.000
Ca1 Ca 0.500 0.500 0.000
Dy1 Dy 0.000 0.500 0.500
Dy2 Dy 0.500 0.000 0.500
F1 F 0.000 0.000 0.500
F2 F 0.000 0.500 0.000
F3 F 0.243 0.741 0.290
F4 F 0.259 0.757 0.710
F5 F 0.269 0.269 0.739
F6 F 0.500 0.000 0.000
F7 F 0.500 0.500 0.500
F8 F 0.731 0.731 0.261
F9 F 0.741 0.243 0.290
F10 F 0.757 0.259 0.710
```